Entry 1:
For SiPHO5, a structure optimized by DFT (PBE) gives the theoretical powder XRD pattern in this record (Cu Kα, 1.54184 Å).

Main lines, by intensity (10° ≤ 2θ ≤ 90°):
28.67 deg, intensity 100, hkl 1 1 -2
29.81 deg, intensity 56, hkl 2 0 0
19.48 deg, intensity 45, hkl 1 1 -1
29.51 deg, intensity 30, hkl 0 2 1
52.61 deg, intensity 20, hkl 2 0 -4
61.27 deg, intensity 20, hkl 0 4 2
36.51 deg, intensity 17, hkl 2 2 -1
47.72 deg, intensity 16, hkl 2 2 -3

Cell: 6.9203 7.0011 6.9548 Å, 90.00 120.00 90.00°
Space group P2_1/c (No. 14)
Inequivalent atoms, fractional coordinates:
Si: 0.2494 0.2499 0.0001 x4
P: 0.2495 0.6174 0.2503 x4
H: 0.2842 0.0257 0.2676 x4
O: 0.0470 0.7482 0.6479 x4
O: 0.2495 0.0108 0.9305 x4
O: 0.2533 0.1641 0.2519 x4
O: 0.2536 0.0105 0.5719 x4
O: 0.4496 0.7450 0.8507 x4

Entry 2:
For SnPHO4, a structure optimized by DFT (PBE) gives the theoretical powder XRD pattern in this record (Cu Kα, 1.54184 Å).

Main lines, by intensity (10° ≤ 2θ ≤ 90°):
29.99 deg, intensity 100, hkl 1 3 -1
12.86 deg, intensity 80, hkl 0 2 0
29.44 deg, intensity 72, hkl 1 2 1
23.62 deg, intensity 46, hkl 1 1 -1
31.39 deg, intensity 43, hkl 0 1 2
25.88 deg, intensity 33, hkl 0 4 0
39.54 deg, intensity 33, hkl 1 1 2
45.31 deg, intensity 27, hkl 0 5 2

Cell: 4.6703 13.7726 5.8927 Å, 90.00 98.65 90.00°
Space group P2_1/c (No. 14)
Inequivalent atoms, fractional coordinates:
Sn: 0.0515 0.1570 0.1084 x4
P: 0.4283 0.6506 0.9368 x4
H: 0.4120 0.0136 0.7015 x4
O: 0.1967 0.7173 0.7999 x4
O: 0.3036 0.2127 0.4564 x4
O: 0.3180 0.5907 0.1244 x4
O: 0.4806 0.0817 0.7569 x4

Entry 3:
For SnP2H2O8, a structure optimized by DFT (PBE) gives the theoretical powder XRD pattern in this record (Cu Kα, 1.54184 Å).

Main lines, by intensity (10° ≤ 2θ ≤ 90°):
12.25 deg, intensity 100, hkl 1 1 0
11.28 deg, intensity 74, hkl 2 0 0
25.35 deg, intensity 36, hkl 3 1 -1
28.99 deg, intensity 30, hkl 3 1 1
33.27 deg, intensity 25, hkl 5 1 -1
29.63 deg, intensity 24, hkl 2 2 -1
31.81 deg, intensity 21, hkl 2 2 1
38.54 deg, intensity 20, hkl 4 2 1

Cell: 15.8841 8.1392 4.9674 Å, 90.00 99.02 90.00°
Space group C2/c (No. 15)
Inequivalent atoms, fractional coordinates:
Sn: 0.0000 0.1394 0.2500 x4
P: 0.1288 0.2172 0.8022 x8
H: 0.2354 0.3717 0.1577 x8
O: 0.0715 0.0800 0.9394 x8
O: 0.0720 0.2768 0.5326 x8
O: 0.1484 0.3520 0.0059 x8
O: 0.2046 0.1205 0.7210 x8

Entry 4:
For SnPHO5, a structure optimized by DFT (PBE) gives the theoretical powder XRD pattern in this record (Cu Kα, 1.54184 Å).

Main lines, by intensity (10° ≤ 2θ ≤ 90°):
17.92 deg, intensity 100, hkl 1 0 -1
18.11 deg, intensity 84, hkl 0 1 -1
26.11 deg, intensity 65, hkl 1 0 1
25.70 deg, intensity 60, hkl 0 1 1
28.88 deg, intensity 54, hkl 1 1 -2
21.87 deg, intensity 43, hkl 1 -1 0
34.13 deg, intensity 31, hkl -1 1 2
34.96 deg, intensity 31, hkl 1 -1 2

Cell: 5.3572 5.3592 7.5778 Å, 106.24 108.17 98.67°
Space group P-1 (No. 2)
Inequivalent atoms, fractional coordinates:
Sn: 0.0000 0.0000 0.0000 x1
Sn: 0.5000 0.5000 0.5000 x1
P: 0.0947 0.4299 0.7619 x2
H: 0.3442 0.9774 0.3136 x2
O: 0.1765 0.2926 0.9168 x2
O: 0.1798 0.7388 0.8614 x2
O: 0.2240 0.6753 0.3493 x2
O: 0.2330 0.3485 0.6121 x2
O: 0.3431 0.1319 0.2649 x2

Entry 5:
For SrP2H4O4, a structure optimized by DFT (PBE) gives the theoretical powder XRD pattern in this record (Cu Kα, 1.54184 Å).

Main lines, by intensity (10° ≤ 2θ ≤ 90°):
11.02 deg, intensity 100, hkl 2 0 0
27.48 deg, intensity 47, hkl 3 1 1
26.16 deg, intensity 44, hkl 3 1 -1
29.80 deg, intensity 26, hkl 0 2 0
34.18 deg, intensity 23, hkl 5 1 -1
42.65 deg, intensity 15, hkl 0 2 2
35.91 deg, intensity 15, hkl 5 1 1
45.40 deg, intensity 9, hkl 6 2 0

Cell: 16.0942 6.0054 6.0007 Å, 90.00 94.03 90.00°
Space group C2/c (No. 15)
Inequivalent atoms, fractional coordinates:
Sr: 0.0000 0.2484 0.2500 x4
P: 0.1355 0.2525 0.7754 x8
H: 0.1894 0.3872 0.9153 x8
H: 0.1925 0.1272 0.6563 x8
O: 0.0843 0.4022 0.6123 x8
O: 0.0874 0.0957 0.9201 x8

Entry 6:
For SrP2H4O6, a structure optimized by DFT (PBE) gives the theoretical powder XRD pattern in this record (Cu Kα, 1.54184 Å).

Main lines, by intensity (10° ≤ 2θ ≤ 90°):
11.36 deg, intensity 100, hkl 0 0 1
27.43 deg, intensity 46, hkl 1 1 -2
27.12 deg, intensity 43, hkl -1 1 2
26.31 deg, intensity 36, hkl 0 2 0
28.12 deg, intensity 34, hkl 1 -2 1
22.75 deg, intensity 34, hkl 1 0 1
34.32 deg, intensity 22, hkl 2 0 -2
21.88 deg, intensity 19, hkl 1 -1 1

Cell: 5.8775 7.2476 8.2492 Å, 98.02 104.28 106.40°
Space group P-1 (No. 2)
Inequivalent atoms, fractional coordinates:
Sr: 0.1626 0.2861 0.4569 x2
P: 0.1755 0.7577 0.2807 x2
P: 0.4516 0.7313 0.8281 x2
H: 0.0908 0.7181 0.0999 x2
H: 0.2704 0.0442 0.9462 x2
H: 0.3433 0.6064 0.9245 x2
H: 0.4443 0.0592 0.7078 x2
O: 0.0784 0.5721 0.3427 x2
O: 0.0989 0.9263 0.3541 x2
O: 0.2772 0.1446 0.0453 x2
O: 0.2974 0.8674 0.7835 x2
O: 0.4729 0.8148 0.3246 x2
O: 0.4887 0.6103 0.6775 x2

Entry 7:
For SrP2H6O9, a structure optimized by DFT (PBE) gives the theoretical powder XRD pattern in this record (Cu Kα, 1.54184 Å).

Main lines, by intensity (10° ≤ 2θ ≤ 90°):
14.49 deg, intensity 100, hkl 1 0 -1
31.69 deg, intensity 59, hkl 1 0 -3
21.64 deg, intensity 46, hkl 1 -1 1
28.93 deg, intensity 44, hkl 1 2 -1
18.92 deg, intensity 33, hkl 0 1 1
22.60 deg, intensity 30, hkl 0 0 2
26.49 deg, intensity 26, hkl 1 -2 0
26.62 deg, intensity 26, hkl 2 0 -1

Cell: 6.7356 7.3782 8.6730 Å, 102.03 110.00 95.93°
Space group P-1 (No. 2)
Inequivalent atoms, fractional coordinates:
Sr: 0.1014 0.2513 0.1911 x2
P: 0.2618 0.8013 0.2614 x2
P: 0.3427 0.9054 0.6276 x2
H: 0.2221 0.5236 0.7557 x2
H: 0.2507 0.4865 0.9325 x2
H: 0.2740 0.1423 0.8905 x2
H: 0.3162 0.3223 0.5806 x2
H: 0.3329 0.5317 0.5628 x2
H: 0.4752 0.2886 0.0363 x2
O: 0.1419 0.8948 0.1292 x2
O: 0.1919 0.9179 0.7203 x2
O: 0.2052 0.8830 0.4277 x2
O: 0.2297 0.4118 0.5360 x2
O: 0.2374 0.5917 0.2235 x2
O: 0.2393 0.5880 0.8729 x2
O: 0.3157 0.2554 0.9876 x2
O: 0.4800 0.1194 0.6753 x2
O: 0.4902 0.7646 0.6440 x2

What is the formula in the seventh record? SrP2H6O9